1.
The following is a calculated XRD peak list of SmDy3Ir. It was derived from the PBE geometry in Alexandria, using CuKα.
Lines closer than 0.1° are merged.

Structural model:
a = 7.638 Å, b = 6.555 Å, c = 6.218 Å
α = 90.00°, β = 90.00°, γ = 90.00°
Fractional coordinates of all 10 atoms:
Sm (0.000, 0.149, 0.000)
Sm (0.500, 0.851, 0.500)
Dy (0.000, 0.846, 0.491)
Dy (0.249, 0.317, 0.496)
Dy (0.251, 0.683, 0.996)
Dy (0.500, 0.154, 0.991)
Dy (0.749, 0.683, 0.996)
Dy (0.751, 0.317, 0.496)
Ir (0.000, 0.504, 0.745)
Ir (0.500, 0.496, 0.245)

Top 8 peaks for 5 to 70 degrees two-theta, in order of rising 2θ:
Position (°2θ)  d [Å]  I/Imax
22.9  3.884  26
30.7  2.915  100
30.8  2.899  47
39.8  2.263  42
40.0  2.255  21
47.6  1.911  24
48.0  1.896  31
52.1  1.755  23

***

2.
The following is a calculated XRD peak list of Cd5HgPb. It was derived from the PBE geometry in Alexandria, using CuKα.
Lines closer than 0.1° are merged.

Structural model:
a = 4.509 Å, b = 4.509 Å, c = 8.916 Å
α = 90.00°, β = 90.00°, γ = 90.00°
Fractional coordinates of all 7 atoms:
Cd (0.000, 0.000, 0.000)
Cd (0.000, 0.500, 0.251)
Cd (0.000, 0.500, 0.749)
Cd (0.500, 0.000, 0.251)
Cd (0.500, 0.000, 0.749)
Hg (0.500, 0.500, 0.000)
Pb (0.000, 0.000, 0.500)

Top 8 peaks for 5 to 70 degrees two-theta, in order of rising 2θ:
Position (°2θ)  d [Å]  I/Imax
22.1  4.024  26
34.6  2.593  100
40.0  2.255  33
40.5  2.229  16
57.8  1.594  11
58.2  1.585  22
69.2  1.358  26
69.8  1.347  13

***

3.
The following is a calculated XRD peak list of Tb6GeS5. It was derived from the PBE geometry in Alexandria, using CuKα.
Lines closer than 0.1° are merged.

Structural model:
a = 6.876 Å, b = 6.876 Å, c = 6.900 Å
α = 99.52°, β = 99.52°, γ = 119.97°
Fractional coordinates of all 12 atoms:
Tb (0.083, 0.417, 0.750)
Tb (0.249, 0.249, 0.249)
Tb (0.417, 0.083, 0.750)
Tb (0.583, 0.917, 0.250)
Tb (0.751, 0.751, 0.751)
Tb (0.917, 0.583, 0.250)
Ge (0.500, 0.500, 0.000)
S (0.000, 0.000, 0.500)
S (0.167, 0.833, 0.000)
S (0.334, 0.666, 0.500)
S (0.666, 0.334, 0.500)
S (0.833, 0.167, 0.000)

Top 8 peaks for 5 to 70 degrees two-theta, in order of rising 2θ:
Position (°2θ)  d [Å]  I/Imax
27.4  3.256  17
27.5  3.243  50
31.8  2.812  100
45.6  1.991  36
45.7  1.985  36
54.1  1.694  19
56.8  1.622  19
66.5  1.406  12

***

4.
The following is a calculated XRD peak list of YTm2ScBi4. It was derived from the PBE geometry in Alexandria, using CuKα.
Lines closer than 0.1° are merged.

Structural model:
a = 7.632 Å, b = 4.409 Å, c = 7.634 Å
α = 90.00°, β = 109.46°, γ = 90.00°
Fractional coordinates of all 8 atoms:
Y (0.000, 0.000, 0.000)
Tm (0.000, 0.500, 0.500)
Tm (0.500, 0.000, 0.500)
Sc (0.500, 0.500, 0.000)
Bi (0.256, 0.500, 0.249)
Bi (0.259, 0.000, 0.756)
Bi (0.741, 0.000, 0.244)
Bi (0.744, 0.500, 0.751)

Top 8 peaks for 5 to 70 degrees two-theta, in order of rising 2θ:
Position (°2θ)  d [Å]  I/Imax
12.3  7.198  4
24.7  3.599  14
28.6  3.117  100
41.0  2.204  77
48.4  1.879  7
50.7  1.799  28
59.3  1.558  13
67.2  1.394  36

***

5.
The following is a calculated XRD peak list of Y2ThSi4. It was derived from the PBE geometry in Alexandria, using CuKα.
Lines closer than 0.1° are merged.

Structural model:
a = 3.941 Å, b = 4.277 Å, c = 17.552 Å
α = 90.00°, β = 90.00°, γ = 90.00°
Fractional coordinates of all 14 atoms:
Y (0.000, 0.000, 0.183)
Y (0.000, 0.000, 0.817)
Y (0.500, 0.500, 0.317)
Y (0.500, 0.500, 0.683)
Th (0.000, 0.500, 0.500)
Th (0.500, 0.000, 0.000)
Si (0.000, 0.000, 0.351)
Si (0.000, 0.000, 0.649)
Si (0.000, 0.500, 0.067)
Si (0.000, 0.500, 0.933)
Si (0.500, 0.000, 0.433)
Si (0.500, 0.000, 0.567)
Si (0.500, 0.500, 0.149)
Si (0.500, 0.500, 0.851)

Top 8 peaks for 5 to 70 degrees two-theta, in order of rising 2θ:
Position (°2θ)  d [Å]  I/Imax
10.1  8.776  33
21.4  4.156  37
27.3  3.269  51
30.6  2.925  25
32.5  2.752  100
33.0  2.714  50
37.2  2.418  36
52.3  1.749  28

***

6.
The following is a calculated XRD peak list of Pr2Hg6Au. It was derived from the PBE geometry in Alexandria, using CuKα.
Lines closer than 0.1° are merged.

Structural model:
a = 6.789 Å, b = 6.789 Å, c = 5.728 Å
α = 90.00°, β = 90.00°, γ = 120.00°
Fractional coordinates of all 9 atoms:
Pr (0.333, 0.667, 0.303)
Pr (0.667, 0.333, 0.697)
Hg (0.183, 0.365, 0.811)
Hg (0.183, 0.817, 0.811)
Hg (0.365, 0.183, 0.189)
Hg (0.635, 0.817, 0.811)
Hg (0.817, 0.183, 0.189)
Hg (0.817, 0.635, 0.189)
Au (0.000, 0.000, 0.500)

Top 8 peaks for 5 to 70 degrees two-theta, in order of rising 2θ:
Position (°2θ)  d [Å]  I/Imax
30.4  2.940  13
30.6  2.920  17
34.3  2.615  100
34.8  2.575  18
44.1  2.051  28
54.0  1.697  22
64.3  1.448  12
65.6  1.424  13

***

What is the formula in the first record?
SmDy3Ir

***

Number 5 is which compound?
Y2ThSi4

***

What is the formula in the sixth record?
Pr2Hg6Au